Diffraction record for Cu7Ag3. The powder XRD pattern is computed, not measured: it uses a cell relaxed with GGA-PBE and Cu Ka.
Neutral-atom scattering factors, no anomalous dispersion.

Principal peaks in the range 2θ = 15–90°, in order of rising 2θ:
- d = 2.367 Å, I = 11
- d = 2.223 Å, I = 100
- d = 2.130 Å, I = 18
- d = 2.005 Å, I = 10
- d = 1.904 Å, I = 51
- d = 1.369 Å, I = 20
- d = 1.166 Å, I = 11
- d = 1.152 Å, I = 13

Structural model:
```
10
Lattice="1.369 0.790 21.302 -1.369 0.790 21.302 0.000 -1.581 21.302" Properties=species:S:1:pos:R:3 pbc="T T T"
Cu 0.000 0.000 0.000
Cu 0.000 0.000 5.966
Cu 0.000 0.000 12.379
Cu 0.000 0.000 19.346
Cu 0.000 0.000 25.280
Cu 0.000 0.000 44.595
Cu 0.000 0.000 50.535
Ag 0.000 0.000 31.470
Ag 0.000 0.000 38.409
Ag 0.000 0.000 57.201
```



Diffraction record for KHfAgTeS2. The powder XRD pattern is computed, not measured: it uses a cell relaxed with GGA-PBE and Cu Ka.
Neutral-atom scattering factors, no anomalous dispersion.

Principal peaks in the range 2θ = 15–90°, in order of rising 2θ:
- d = 3.479 Å, I = 40
- d = 2.837 Å, I = 37
- d = 2.764 Å, I = 100
- d = 2.632 Å, I = 65
- d = 2.523 Å, I = 73
- d = 2.499 Å, I = 39
- d = 2.260 Å, I = 44
- d = 2.044 Å, I = 58

Structural model:
```
12
Lattice="8.359 0.000 0.000 0.000 3.877 0.000 -3.320 0.000 9.427" Properties=species:S:1:pos:R:3 pbc="T T T"
K 1.034 0.969 2.167
K 4.004 2.908 7.260
Hf -0.114 2.908 8.039
Hf 5.153 0.969 1.388
Ag -1.416 0.969 5.729
Ag 6.455 2.908 3.698
Te 0.602 2.908 5.226
Te 4.436 0.969 4.201
S -1.831 0.969 8.216
S 3.398 2.908 1.179
S 1.641 0.969 8.248
S 6.869 2.908 1.211
```



Diffraction record for HoGaTe. The powder XRD pattern is computed, not measured: it uses a cell relaxed with GGA-PBE and Cu Ka.
Neutral-atom scattering factors, no anomalous dispersion.

Principal peaks in the range 2θ = 15–90°, in order of rising 2θ:
- d = 4.093 Å, I = 43
- d = 3.544 Å, I = 12
- d = 2.506 Å, I = 100
- d = 2.137 Å, I = 23
- d = 1.772 Å, I = 18
- d = 1.447 Å, I = 36
- d = 1.253 Å, I = 11
- d = 1.121 Å, I = 16

Structural model:
```
3
Lattice="0.000 3.544 3.544 3.544 0.000 3.544 3.544 3.544 0.000" Properties=species:S:1:pos:R:3 pbc="T T T"
Ho 0.000 0.000 0.000
Ga 3.544 3.544 3.544
Te 5.317 5.317 5.317
```